No. 1
For HoPtF7, a DFT-relaxed cell (GGA-PBE, Alexandria) gives the calculated X-ray diffraction stick pattern in this record (copper Kα).
Neutral-atom scattering factors, no anomalous dispersion.

Largest 10 diffraction maxima, by angle, 15 to 90 degrees two-theta:
h k l, 2θ/deg, d/Å, Rel. int.
1 1 -2, 22.2, 4.004, 100
2 0 0, 22.7, 3.925, 42
0 1 2, 23.3, 3.825, 15
2 1 -2, 26.6, 3.354, 18
2 1 0, 27.9, 3.200, 12
1 1 2, 29.2, 3.061, 34
1 0 -4, 30.2, 2.958, 13
0 2 0, 32.4, 2.764, 18
1 2 -4, 44.9, 2.019, 14
2 1 -6, 48.6, 1.873, 17

Cell and atoms:
Unit cell a=8.847 b=5.527 c=11.946 alpha=90.00 beta=117.48 gamma=90.00
Space group P2_1/c (No. 14)
Inequivalent atoms, fractional coordinates:
Ho 0.186 0.239 0.265
Pt 0.272 0.742 0.043
F 0.023 0.746 0.949
F 0.030 0.584 0.732
F 0.253 0.551 0.176
F 0.275 0.036 0.137
F 0.278 0.060 0.457
F 0.297 0.562 0.415
F 0.478 0.226 0.358

=====

No. 2
For Nd2SiNi4, a DFT-relaxed cell (GGA-PBE, Alexandria) gives the calculated X-ray diffraction stick pattern in this record (copper Kα).
Neutral-atom scattering factors, no anomalous dispersion.

Largest 10 diffraction maxima, by angle, 15 to 90 degrees two-theta:
h k l, 2θ/deg, d/Å, Rel. int.
0 2 0, 21.7, 4.095, 31
2 0 0, 24.0, 3.704, 19
0 2 2, 30.0, 2.974, 44
2 0 2, 31.8, 2.814, 45
2 2 2, 38.8, 2.319, 100
0 0 4, 41.8, 2.163, 29
0 4 0, 44.2, 2.047, 23
2 4 2, 55.5, 1.655, 17
0 4 4, 62.5, 1.487, 16
2 2 6, 74.3, 1.277, 14

Cell and atoms:
Unit cell a=7.408 b=8.190 c=8.652 alpha=90.00 beta=90.00 gamma=90.00
Space group Fmm2 (No. 42)
Inequivalent atoms, fractional coordinates:
Nd 0.250 0.250 0.000
Si 0.000 0.000 0.262
Ni 0.000 0.232 0.750
Ni 0.191 0.000 0.751

=====

No. 3
For Pr8Ho4Tm, a DFT-relaxed cell (GGA-PBE, Alexandria) gives the calculated X-ray diffraction stick pattern in this record (copper Kα).
Neutral-atom scattering factors, no anomalous dispersion.

Largest 10 diffraction maxima, by angle, 15 to 90 degrees two-theta:
h k l, 2θ/deg, d/Å, Rel. int.
0 0 9, 27.2, 3.281, 24
0 2 1, 28.5, 3.133, 15
0 2 4, 30.9, 2.898, 100
2 0 5, 32.2, 2.780, 33
1 0 10, 33.5, 2.674, 11
2 0 8, 37.5, 2.396, 36
0 2 13, 49.5, 1.842, 12
2 2 0, 50.1, 1.819, 29
2 2 9, 58.0, 1.591, 20
4 0 4, 60.0, 1.541, 14

Cell and atoms:
Unit cell a=7.2766 b=7.2766 c=29.5252 alpha=90.00 beta=90.00 gamma=120.00
Space group R-3m (No. 166, hexagonal axes)
Inequivalent atoms, fractional coordinates:
Pr 0.0000 0.0000 0.2117
Pr 0.0266 0.5133 0.7626
Ho 0.0000 0.0000 0.0000
Ho 0.0000 0.5000 0.0000
Tm 0.0000 0.0000 0.5000